Structure and theoretical powder diffractogram of GaBiPb (DFT lattice parameters and positions (PBE); CuKα).
No peak broadening, texture or thermal motion is included.

Unit cell a=5.3484 b=4.4555 c=7.5862 alpha=90.00 beta=108.37 gamma=90.00
Fractional positions:
Ga 0.0499 0.2500 0.1280
Ga 0.9501 0.7500 0.8720
Bi 0.4084 0.2500 0.8282
Bi 0.5916 0.7500 0.1718
Pb 0.2246 0.7500 0.4594
Pb 0.7754 0.2500 0.5406

Most intense lines, 2θ from 15° to 90°, by angle:
2theta, I_rel, index
23.48, 32, 0 1 1
31.73, 100, 1 1 1
32.51, 98, 1 1 -2
33.54, 48, 2 0 -1
37.47, 25, 0 0 3
40.49, 29, 0 2 0
53.56, 26, 2 2 -1
58.34, 17, 3 1 0
59.80, 18, 3 1 -3
68.15, 21, 1 3 1